# K2MnH8S2O12
Computed powder XRD pattern, λ = 1.5418 Å (Cu Kα). Input: DFT lattice parameters and positions (GGA+U).
No peak broadening, texture or thermal motion is included.

Largest 12 diffraction maxima, sorted by position, 2θ = 10–80°:
| 2θ (°) | intensity |
| --- | --- |
| 17.7 | 39.3 |
| 18.3 | 51.5 |
| 24.7 | 68.8 |
| 24.9 | 77.6 |
| 25.3 | 95.4 |
| 25.8 | 92.8 |
| 26.3 | 100.0 |
| 28.5 | 23.1 |
| 31.8 | 46.4 |
| 33.2 | 24.9 |
| 37.1 | 62.0 |
| 45.0 | 42.2 |

Structural model:
a = 7.749 Å, b = 7.782 Å, c = 10.062 Å
α = 85.19°, β = 86.58°, γ = 77.24°
Space group P-1 (No. 2)
One atom of each set of equivalent atoms:
K (0.079, 0.086, 0.262)
K (0.397, 0.443, 0.766)
Mn (0.000, 0.500, 0.500)
Mn (0.500, 0.000, 0.000)
H (0.059, 0.272, 0.730)
H (0.154, 0.224, 0.956)
H (0.171, 0.176, 0.610)
H (0.216, 0.448, 0.267)
H (0.259, 0.339, 0.038)
H (0.322, 0.334, 0.385)
H (0.455, 0.930, 0.284)
H (0.464, 0.899, 0.726)
S (0.199, 0.706, 0.048)
S (0.296, 0.793, 0.526)
O (0.030, 0.789, 0.122)
O (0.129, 0.294, 0.647)
O (0.164, 0.692, 0.908)
O (0.179, 0.665, 0.566)
O (0.195, 0.975, 0.547)
O (0.200, 0.379, 0.354)
O (0.269, 0.524, 0.114)
O (0.270, 0.226, 0.993)
O (0.333, 0.814, 0.061)
O (0.356, 0.779, 0.383)
O (0.452, 0.746, 0.614)
O (0.497, 0.987, 0.780)